For RbVInF6, a GGA+U-relaxed structure gives the theoretical powder XRD pattern in this record (Cu Kα, 1.54184 Å).
Intensities are scaled so that the largest is 100.

Structure:
```
RbVInF6
1.0
5.1022 -3.0538 0.0000
5.1022 3.0538 0.0000
-0.1865 0.0000 5.0799
Rb V In F
1 1 1 6
Direct
0.0000 0.0000 0.0000
0.3449 0.3449 0.6563
0.6698 0.6698 0.4217
0.0174 0.4700 0.8113
0.2284 0.6733 0.5000
0.2291 0.2291 0.3717
0.4625 0.4625 0.9394
0.4700 0.0174 0.8113
0.6733 0.2284 0.5000
```

Peak list (6 most intense, 15 to 90 degrees two-theta, most intense first)
d 3.613, 24.6°, I = 100; d 2.347, 38.4°, I = 63; d 2.970, 30.1°, I = 60; d 3.667, 24.3°, I = 55; d 2.243, 40.2°, I = 36; d 2.311, 39.0°, I = 32